1.
Diffraction record for Pm7Sn3O2. The powder XRD pattern is simulated, not measured: it uses a DFT-relaxed cell (PBE, Alexandria) and a wavelength of 1.5418 Å.
Intensities are scaled so that the largest is 100.

a = 4.9285 Å, b = 25.2647 Å, c = 4.7924 Å
α = 90.00°, β = 90.00°, γ = 90.00°
Space group Cmmm (No. 65)
Inequivalent atoms, fractional coordinates:
Pm1 0.0000 0.0000 0.0000 [2 per cell]
Pm2 0.0000 0.0959 0.5000 [4 per cell]
Pm3 0.0000 0.2020 0.0000 [4 per cell]
Pm4 0.0000 0.3995 0.0000 [4 per cell]
Sn1 0.0000 0.3076 0.5000 [4 per cell]
Sn2 0.0000 0.5000 0.5000 [2 per cell]
O1 0.0000 0.1014 0.0000 [4 per cell]

Largest 10 diffraction maxima, in order of rising 2θ, 5° ≤ 2θ ≤ 70°:
2theta  Rel. int.  h k l
31.49  100  1 5 1
35.53  19  0 10 0
36.46  19  2 0 0
37.54  17  0 0 2
51.83  13  2 10 0
53.33  13  2 0 2
61.29  14  1 15 1
62.53  14  3 5 1
63.98  13  1 5 3
65.73  13  2 10 2

2.
Diffraction record for SrPmTiO4. The powder XRD pattern is simulated, not measured: it uses a DFT-relaxed cell (PBE, Alexandria) and a wavelength of 1.5418 Å.
Intensities are scaled so that the largest is 100.

a = 3.9136 Å, b = 3.9136 Å, c = 12.5089 Å
α = 90.00°, β = 90.00°, γ = 90.00°
Space group I4mm (No. 107)
Inequivalent atoms, fractional coordinates:
Sr1 0.0000 0.0000 0.0000 [2 per cell]
Pm1 0.0000 0.0000 0.7133 [2 per cell]
Ti1 0.0000 0.0000 0.3551 [2 per cell]
O1 0.0000 0.0000 0.1896 [2 per cell]
O2 0.0000 0.0000 0.5305 [2 per cell]
O3 0.0000 0.5000 0.3487 [4 per cell]

Largest 10 diffraction maxima, in order of rising 2θ, 5° ≤ 2θ ≤ 70°:
2theta  Rel. int.  h k l
23.82  33  1 0 1
31.35  100  1 0 3
32.35  71  1 1 0
42.91  13  1 0 5
43.40  13  0 0 6
43.68  34  1 1 4
46.40  38  2 0 0
55.16  16  1 1 6
57.07  37  2 1 3
65.41  14  2 0 6

3.
Diffraction record for PmTa2O6. The powder XRD pattern is simulated, not measured: it uses a DFT-relaxed cell (PBE, Alexandria) and a wavelength of 1.5418 Å.
Intensities are scaled so that the largest is 100.

a = 11.6068 Å, b = 3.8604 Å, c = 7.4798 Å
α = 90.00°, β = 99.95°, γ = 90.00°
Space group C2/m (No. 12)
Inequivalent atoms, fractional coordinates:
Pm1 0.0000 0.0000 0.0000 [2 per cell]
Ta1 0.2429 0.5000 0.3150 [4 per cell]
O1 0.0999 0.5000 0.1452 [4 per cell]
O2 0.1281 0.0000 0.7928 [4 per cell]
O3 0.2296 0.0000 0.3972 [4 per cell]

Largest 10 diffraction maxima, in order of rising 2θ, 5° ≤ 2θ ≤ 70°:
2theta  Rel. int.  h k l
15.50  46  2 0 0
17.92  75  2 0 -1
21.26  36  2 0 1
26.42  32  2 0 -2
27.83  100  1 1 1
31.07  25  2 0 2
31.30  34  4 0 0
33.56  30  1 1 -2
33.79  40  3 1 -1
47.11  26  0 2 0

4.
Diffraction record for Pm3TaO7. The powder XRD pattern is simulated, not measured: it uses a DFT-relaxed cell (PBE, Alexandria) and a wavelength of 1.5418 Å.
Intensities are scaled so that the largest is 100.

a = 7.7804 Å, b = 10.8380 Å, c = 7.6488 Å
α = 90.00°, β = 90.00°, γ = 90.00°
Space group C222_1 (No. 20)
Inequivalent atoms, fractional coordinates:
Pm1 0.0374 0.0000 0.0000 [4 per cell]
Pm2 0.2328 0.2686 0.7597 [8 per cell]
Ta1 0.0016 0.5000 0.0000 [4 per cell]
O1 0.0000 0.1291 0.2500 [4 per cell]
O2 0.0000 0.1384 0.7500 [4 per cell]
O3 0.0000 0.4391 0.7500 [4 per cell]
O4 0.1726 0.3728 0.0422 [8 per cell]
O5 0.2015 0.3789 0.4780 [8 per cell]

Largest 10 diffraction maxima, in order of rising 2θ, 5° ≤ 2θ ≤ 70°:
2theta  Rel. int.  h k l
28.24  100  2 2 0
28.57  99  0 2 2
32.84  47  2 0 2
33.06  22  0 4 0
46.70  12  4 0 0
47.29  55  2 4 2
47.55  16  0 0 4
55.66  23  4 2 2
56.20  40  2 2 4
56.33  12  0 6 2

5.
Diffraction record for Pm2Ta3O10. The powder XRD pattern is simulated, not measured: it uses a DFT-relaxed cell (PBE, Alexandria) and a wavelength of 1.5418 Å.
Intensities are scaled so that the largest is 100.

a = 18.9509 Å, b = 5.8249 Å, c = 7.6660 Å
α = 90.00°, β = 113.21°, γ = 90.00°
Space group C2/m (No. 12)
Inequivalent atoms, fractional coordinates:
Pm1 0.0917 0.0000 0.4617 [4 per cell]
Pm2 0.1836 0.0000 0.0218 [4 per cell]
Ta1 0.0000 0.2456 0.0000 [4 per cell]
Ta2 0.0838 0.5000 0.6730 [4 per cell]
Ta3 0.1882 0.5000 0.3301 [4 per cell]
O1 0.0000 0.2627 0.5000 [4 per cell]
O2 0.0208 0.0000 0.8329 [4 per cell]
O3 0.0285 0.5000 0.8496 [4 per cell]
O4 0.1107 0.2337 0.1796 [8 per cell]
O5 0.1172 0.5000 0.4645 [4 per cell]
O6 0.1462 0.2384 0.7712 [8 per cell]
O7 0.2213 0.5000 0.1275 [4 per cell]
O8 0.2500 0.2500 0.5000 [4 per cell]

Largest 10 diffraction maxima, in order of rising 2θ, 5° ≤ 2θ ≤ 70°:
2theta  Rel. int.  h k l
10.16  17  2 0 0
25.50  20  4 0 -2
28.01  91  4 0 1
28.25  100  6 0 -1
28.39  58  3 1 -2
30.70  19  0 2 0
33.31  29  0 2 1
52.45  24  8 2 0
54.77  18  8 2 -3
57.57  18  4 2 -4

6.
Diffraction record for Pm2TaO6. The powder XRD pattern is simulated, not measured: it uses a DFT-relaxed cell (PBE, Alexandria) and a wavelength of 1.5418 Å.
Intensities are scaled so that the largest is 100.

a = 5.7015 Å, b = 5.9840 Å, c = 9.3015 Å
α = 90.00°, β = 119.18°, γ = 90.00°
Space group P2_1/c (No. 14)
Inequivalent atoms, fractional coordinates:
Pm1 0.1847 0.0845 0.2305 [4 per cell]
Ta1 0.5000 0.0000 0.0000 [2 per cell]
O1 0.1659 0.1703 0.9482 [4 per cell]
O2 0.2537 0.7360 0.8945 [4 per cell]
O3 0.4615 0.0960 0.7869 [4 per cell]

Largest 10 diffraction maxima, in order of rising 2θ, 5° ≤ 2θ ≤ 70°:
2theta  Rel. int.  h k l
18.42  100  0 1 1
20.40  42  1 0 -2
23.24  19  1 1 0
29.29  91  1 1 1
29.86  23  0 2 0
31.71  33  2 0 -2
31.88  22  0 2 1
32.58  79  1 1 -3
35.49  45  2 1 -1
44.12  20  2 2 -2

7.
Diffraction record for PmTa2TlO7. The powder XRD pattern is simulated, not measured: it uses a DFT-relaxed cell (PBE, Alexandria) and a wavelength of 1.5418 Å.
Intensities are scaled so that the largest is 100.

a = 3.8903 Å, b = 3.8903 Å, c = 11.2887 Å
α = 90.00°, β = 90.00°, γ = 90.00°
Space group P4/mmm (No. 123)
Inequivalent atoms, fractional coordinates:
Pm1 0.0000 0.0000 0.0000 [1 per cell]
Ta1 0.5000 0.5000 0.1995 [2 per cell]
Tl1 0.0000 0.0000 0.5000 [1 per cell]
O1 0.0000 0.5000 0.1596 [4 per cell]
O2 0.5000 0.5000 0.0000 [1 per cell]
O3 0.5000 0.5000 0.3599 [2 per cell]

Largest 10 diffraction maxima, in order of rising 2θ, 5° ≤ 2θ ≤ 70°:
2theta  Rel. int.  h k l
7.83  11  0 0 1
23.64  13  0 0 3
24.20  9  1 0 1
27.85  100  1 0 2
32.55  41  1 1 0
46.08  15  1 1 4
46.51  12  1 0 5
46.70  21  2 0 0
55.25  31  2 1 2
68.03  8  2 1 5

8.
Diffraction record for TbPm2O4. The powder XRD pattern is simulated, not measured: it uses a DFT-relaxed cell (PBE, Alexandria) and a wavelength of 1.5418 Å.
Intensities are scaled so that the largest is 100.

a = 11.9729 Å, b = 3.5290 Å, c = 6.0725 Å
α = 90.00°, β = 117.64°, γ = 90.00°
Space group C2/m (No. 12)
Inequivalent atoms, fractional coordinates:
Tb1 0.0000 0.0000 0.0000 [2 per cell]
Pm1 0.1967 0.5000 0.6979 [4 per cell]
O1 0.1297 0.0000 0.4188 [4 per cell]
O2 0.1421 0.5000 0.0223 [4 per cell]

Largest 10 diffraction maxima, in order of rising 2θ, 5° ≤ 2θ ≤ 70°:
2theta  Rel. int.  h k l
28.60  43  2 0 1
29.28  100  1 1 -1
29.45  51  2 0 -2
29.87  44  4 0 -1
35.96  56  3 1 0
46.29  29  1 1 2
47.98  28  5 1 -2
51.81  15  0 2 0
52.14  28  3 1 -3
60.73  13  2 2 -2

9.
Diffraction record for TbPm6O12. The powder XRD pattern is simulated, not measured: it uses a DFT-relaxed cell (PBE, Alexandria) and a wavelength of 1.5418 Å.
Intensities are scaled so that the largest is 100.

a = 10.3834 Å, b = 10.3834 Å, c = 9.6593 Å
α = 90.00°, β = 90.00°, γ = 120.00°
Space group R-3 (No. 148, hexagonal axes)
Inequivalent atoms, fractional coordinates:
Tb1 0.0000 0.0000 0.0000 [3 per cell]
Pm1 0.0514 0.7904 0.6528 [18 per cell]
O1 0.0403 0.8190 0.3998 [18 per cell]
O2 0.0440 0.8296 0.8940 [18 per cell]

Largest 10 diffraction maxima, in order of rising 2θ, 5° ≤ 2θ ≤ 70°:
2theta  Rel. int.  h k l
27.71  33  0 0 3
27.83  100  3 -1 1
32.21  43  1 2 2
37.23  5  1 3 1
46.11  31  3 -1 4
46.27  30  4 1 0
54.65  14  1 2 5
54.81  39  4 1 3
57.49  10  6 -2 2
67.38  8  2 4 4

10.
Diffraction record for TbPm2UO8. The powder XRD pattern is simulated, not measured: it uses a DFT-relaxed cell (PBE, Alexandria) and a wavelength of 1.5418 Å.
Intensities are scaled so that the largest is 100.

a = 3.9078 Å, b = 5.4752 Å, c = 7.6345 Å
α = 90.00°, β = 90.00°, γ = 90.00°
Space group Pmmm (No. 47)
Inequivalent atoms, fractional coordinates:
Tb1 0.0000 0.0000 0.0000 [1 per cell]
Pm1 0.5000 0.5000 0.2504 [2 per cell]
U1 0.0000 0.0000 0.5000 [1 per cell]
O1 0.0000 0.2348 0.2743 [4 per cell]
O2 0.5000 0.2247 0.5000 [2 per cell]
O3 0.5000 0.2450 0.0000 [2 per cell]

Largest 10 diffraction maxima, in order of rising 2θ, 5° ≤ 2θ ≤ 70°:
2theta  Rel. int.  h k l
28.05  100  1 1 0
28.50  96  0 1 2
32.77  65  1 0 2
46.48  18  2 0 0
47.00  67  1 2 2
47.65  16  0 0 4
55.43  31  2 1 2
55.58  15  1 3 0
55.84  15  0 3 2
56.21  29  1 1 4

11.
Diffraction record for Tb2PmUO8. The powder XRD pattern is simulated, not measured: it uses a DFT-relaxed cell (PBE, Alexandria) and a wavelength of 1.5418 Å.
Intensities are scaled so that the largest is 100.

a = 3.9134 Å, b = 5.3588 Å, c = 7.6360 Å
α = 90.00°, β = 90.00°, γ = 90.00°
Space group Pmmm (No. 47)
Inequivalent atoms, fractional coordinates:
Tb1 0.0000 0.0000 0.2433 [2 per cell]
Pm1 0.5000 0.5000 0.5000 [1 per cell]
U1 0.5000 0.5000 0.0000 [1 per cell]
O1 0.0000 0.2396 0.5000 [2 per cell]
O2 0.0000 0.2695 0.0000 [2 per cell]
O3 0.5000 0.2578 0.2236 [4 per cell]

Largest 10 diffraction maxima, in order of rising 2θ, 5° ≤ 2θ ≤ 70°:
2theta  Rel. int.  h k l
28.24  100  1 1 0
28.71  95  0 1 2
32.77  44  1 0 2
33.44  21  0 2 0
46.41  18  2 0 0
47.52  66  1 2 2
47.64  16  0 0 4
55.49  31  2 1 2
56.30  29  1 1 4
56.91  14  0 3 2